Diffraction record for KNiMoO4. The powder diffraction line list is simulated, not measured: it uses a DFT-relaxed cell (PBE+U, Alexandria) and Cu Kα, 1.54184 Å.
Peak positions follow from Bragg's law for the DFT cell and can differ from measured ones.

Main lines, most intense first (10° ≤ 2θ ≤ 80°):
hkl 0 0 1, 2θ 14.11, I 100; hkl 0 2 0, 2θ 26.63, I 57; hkl 1 1 -1, 2θ 23.41, I 36; hkl 1 0 1, 2θ 21.26, I 29; hkl 0 2 1, 2θ 30.26, I 26; hkl 2 0 0, 2θ 29.20, I 25; hkl 1 0 2, 2θ 33.34, I 24; hkl 2 1 0, 2θ 32.18, I 17; hkl 3 1 -2, 2θ 52.87, I 17; hkl 1 1 -2, 2θ 33.56, I 16; hkl 1 0 -2, 2θ 30.70, I 15; hkl 1 2 2, 2θ 43.17, I 15

Atomic structure:
```
KNiMoO4
1.0
6.147 0.000 0.000
0.000 6.695 0.000
-0.624 0.000 6.279
K Ni Mo O
2 2 2 8
Cartesian
0.770 1.674 0.534
4.753 5.021 5.745
0.670 1.674 3.884
4.854 5.021 2.395
1.402 5.021 3.582
4.121 1.674 2.697
0.728 5.021 1.902
0.817 3.593 4.524
0.817 6.449 4.524
2.311 1.674 2.738
3.213 5.021 3.541
4.706 0.245 1.754
4.706 3.102 1.754
4.796 1.674 4.377
```